# Li6Bi2B4SO16
Calculated X-ray diffraction stick pattern, Cu Ka. Input: a cell relaxed with GGA-PBE.
No peak broadening, texture or thermal motion is included.

Most intense lines, 2θ from 10° to 90°, by angle:
2θ 11.13, rel. 74
2θ 21.40, rel. 100
2θ 22.37, rel. 56
2θ 25.88, rel. 45
2θ 33.83, rel. 36
2θ 36.93, rel. 44
2θ 38.69, rel. 40
2θ 43.60, rel. 46
2θ 50.94, rel. 26
2θ 58.01, rel. 19
2θ 58.43, rel. 22
2θ 66.54, rel. 18

Cell and atoms:
Lattice parameters (Å, degrees): 9.7361 9.7361 9.7361 60.00 60.00 60.00
Positions (direct):
Li (0.0885, 0.0885, 0.6615)
Li (0.0885, 0.6615, 0.0885)
Li (0.0885, 0.6615, 0.6615)
Li (0.3385, 0.3385, 0.9115)
Li (0.3385, 0.9115, 0.3385)
Li (0.3385, 0.9115, 0.9115)
Li (0.6615, 0.0885, 0.0885)
Li (0.6615, 0.0885, 0.6615)
Li (0.6615, 0.6615, 0.0885)
Li (0.9115, 0.3385, 0.3385)
Li (0.9115, 0.3385, 0.9115)
Li (0.9115, 0.9115, 0.3385)
Bi (0.0000, 0.5000, 0.5000)
Bi (0.5000, 0.0000, 0.5000)
Bi (0.5000, 0.5000, 0.0000)
Bi (0.5000, 0.5000, 0.5000)
B (0.2722, 0.2722, 0.2722)
B (0.2722, 0.2722, 0.6834)
B (0.2722, 0.6834, 0.2722)
B (0.3166, 0.7278, 0.7278)
B (0.6834, 0.2722, 0.2722)
B (0.7278, 0.3166, 0.7278)
B (0.7278, 0.7278, 0.3166)
B (0.7278, 0.7278, 0.7278)
S (0.1250, 0.1250, 0.1250)
S (0.8750, 0.8750, 0.8750)
O (0.0623, 0.0623, 0.0623)
O (0.0623, 0.0623, 0.3131)
O (0.0623, 0.3131, 0.0623)
O (0.1318, 0.2699, 0.6822)
O (0.1318, 0.4161, 0.2699)
O (0.1318, 0.6822, 0.4161)
O (0.2699, 0.1318, 0.4161)
O (0.2699, 0.4161, 0.6822)
O (0.2699, 0.6822, 0.1318)
O (0.3131, 0.0623, 0.0623)
O (0.3178, 0.5839, 0.8682)
O (0.3178, 0.7301, 0.5839)
O (0.3178, 0.8682, 0.7301)
O (0.4161, 0.1318, 0.6822)
O (0.4161, 0.2699, 0.1318)
O (0.4161, 0.6822, 0.2699)
O (0.5839, 0.3178, 0.7301)
O (0.5839, 0.7301, 0.8682)
O (0.5839, 0.8682, 0.3178)
O (0.6822, 0.1318, 0.2699)
O (0.6822, 0.2699, 0.4161)
O (0.6822, 0.4161, 0.1318)
O (0.6869, 0.9377, 0.9377)
O (0.7301, 0.3178, 0.8682)
O (0.7301, 0.5839, 0.3178)
O (0.7301, 0.8682, 0.5839)
O (0.8682, 0.3178, 0.5839)
O (0.8682, 0.5839, 0.7301)
O (0.8682, 0.7301, 0.3178)
O (0.9377, 0.6869, 0.9377)
O (0.9377, 0.9377, 0.6869)
O (0.9377, 0.9377, 0.9377)